FeNi2As2: computed X-ray powder pattern (Cu Kα (weighted mean of Kα1 and Kα2)), based on DFT lattice parameters and positions (GGA-PBE).

Structural model:
```
FeNi2As2
1.0
-3.4978 5.2238 3.0274
3.4978 -5.2238 3.0274
3.4978 5.2238 -3.0274
Fe Ni As
3 6 6
Cartesian
0.0000 0.0000 0.0000
0.0000 3.0555 0.5848
0.0000 7.3921 0.5848
1.7459 3.8977 -1.3911
1.7519 -1.3261 1.6363
1.7459 6.5499 -1.3911
1.7519 1.3261 1.6363
1.7678 5.2238 0.9179
1.7300 0.0000 3.9453
1.7494 1.7358 -0.6179
5.2463 1.7358 -0.6179
3.4978 0.0000 2.4132
0.0000 0.0000 2.4306
-1.7485 3.4880 2.4095
1.7485 3.4880 2.4095
```

Largest 6 diffraction maxima, by intensity, 2θ = 10–80°:
- 2θ = 43.18°, intensity 1000
- 2θ = 39.40°, intensity 700
- 2θ = 52.35°, intensity 645
- 2θ = 53.16°, intensity 494
- 2θ = 29.56°, intensity 412
- 2θ = 25.47°, intensity 324